Entry 1:
This entry pairs a crystal structure of Pr2Ni7P4 with its simulated X-ray powder pattern. Radiation: Cu Kα (λ = 1.5418 Å). Structure: a cell relaxed with PBE.
Kinematic intensities with the Lorentz-polarization factor, no thermal factor.

Largest 12 diffraction maxima, low angle first, 5 to 70 degrees two-theta:
Position (°2θ)	d [Å]	I_rel
26.9	3.315	18
30.2	2.962	18
32.1	2.789	18
34.2	2.619	18
35.1	2.554	25
36.4	2.470	100
37.6	2.389	79
40.2	2.243	30
43.2	2.096	25
47.1	1.930	35
48.2	1.886	44
69.7	1.349	21

Structure:
```
Pr2Ni7P4
1.0
3.7727 0.0000 0.0000
0.0000 9.2632 0.0000
0.0000 0.0000 10.4778
Pr Ni P
4 14 8
Cartesian
0.0000 0.5611 0.0000 Pr
0.0000 4.0472 2.2734 Pr
1.8864 5.2160 7.5123 Pr
1.8864 8.7021 5.2389 Pr
0.0000 0.5661 7.2962 Ni
0.0000 0.8930 3.1694 Ni
0.0000 2.8239 8.2904 Ni
0.0000 3.8645 5.4535 Ni
0.0000 6.3156 4.9964 Ni
0.0000 6.7182 9.3142 Ni
0.0000 6.9198 1.2487 Ni
1.8864 2.3434 6.4876 Ni
1.8864 2.5450 4.0753 Ni
1.8864 2.9476 10.2353 Ni
1.8864 5.3987 0.2146 Ni
1.8864 6.4393 3.0515 Ni
1.8864 8.3702 8.4083 Ni
1.8864 8.6971 2.0573 Ni
0.0000 1.7075 5.2912 P
0.0000 4.4090 9.7908 P
0.0000 7.5498 7.2202 P
0.0000 7.8055 3.2046 P
1.8864 1.4577 8.4435 P
1.8864 1.7134 1.9813 P
1.8864 4.8542 4.5519 P
1.8864 7.5557 0.0523 P
```

Entry 2:
This entry pairs a crystal structure of Pr2Ni3P4 with its simulated X-ray powder pattern. Radiation: Cu Kα (λ = 1.5418 Å). Structure: a cell relaxed with PBE.
Kinematic intensities with the Lorentz-polarization factor, no thermal factor.

Largest 12 diffraction maxima, low angle first, 5 to 70 degrees two-theta:
Position (°2θ)	d [Å]	I_rel
24.4	3.646	57
32.0	2.800	15
36.7	2.448	66
37.4	2.402	100
38.5	2.336	12
45.8	1.980	45
52.6	1.740	15
54.3	1.690	18
60.1	1.540	30
61.4	1.511	12
66.8	1.400	14
69.0	1.361	15

Structure:
```
Pr2Ni3P4
1.0
3.9602 0.0000 0.0000
0.0000 3.9602 0.0000
0.0000 0.0000 9.3456
Pr Ni P
2 3 4
Cartesian
0.0000 1.9801 2.2266 Pr
1.9801 0.0000 7.1190 Pr
0.0000 0.0000 0.0000 Ni
0.0000 0.0000 4.6728 Ni
1.9801 1.9801 4.6728 Ni
0.0000 1.9801 5.8243 P
0.0000 1.9801 8.2102 P
1.9801 0.0000 1.1354 P
1.9801 0.0000 3.5213 P
```

Entry 3:
This entry pairs a crystal structure of PrNi2P2 with its simulated X-ray powder pattern. Radiation: Cu Kα (λ = 1.5418 Å). Structure: a cell relaxed with PBE.
Kinematic intensities with the Lorentz-polarization factor, no thermal factor.

Largest 12 diffraction maxima, low angle first, 5 to 70 degrees two-theta:
Position (°2θ)	d [Å]	I_rel
24.3	3.665	39
31.9	2.804	5
36.1	2.491	53
37.1	2.421	100
37.5	2.401	15
45.8	1.983	41
52.5	1.744	11
53.0	1.729	16
59.6	1.551	24
60.6	1.529	14
66.7	1.402	13
67.4	1.390	18

Structure:
```
PrNi2P2
1.0
-1.9827 1.9827 4.8021
1.9827 -1.9827 4.8021
1.9827 1.9827 -4.8021
Pr Ni P
1 2 2
Cartesian
0.0000 0.0000 0.0000 Pr
1.9827 0.0000 2.4010 Ni
0.0000 1.9827 2.4010 Ni
0.0000 0.0000 3.5640 P
0.0000 0.0000 6.0401 P
```

Entry 4:
This entry pairs a crystal structure of Pr2Ni12P5 with its simulated X-ray powder pattern. Radiation: Cu Kα (λ = 1.5418 Å). Structure: a cell relaxed with PBE.
Kinematic intensities with the Lorentz-polarization factor, no thermal factor.

Largest 12 diffraction maxima, low angle first, 5 to 70 degrees two-theta:
Position (°2θ)	d [Å]	I_rel
28.1	3.173	26
32.2	2.782	28
32.4	2.767	33
34.7	2.584	37
35.4	2.537	35
35.7	2.516	81
37.7	2.388	99
37.7	2.383	100
41.5	2.178	23
42.7	2.116	90
49.5	1.840	84
52.1	1.756	23

Structure:
```
Pr2Ni12P5
1.0
10.8731 0.0000 0.0000
0.0000 3.6797 0.0000
-4.0453 0.0000 12.5120
Pr Ni P
4 24 10
Cartesian
1.6512 0.9199 2.2907 Pr
-0.0387 0.9199 8.5984 Pr
6.8666 2.7598 3.9136 Pr
5.1767 2.7598 10.2213 Pr
-0.5265 2.7598 3.7067 Ni
-3.1510 2.7598 12.3911 Ni
-1.1022 2.7598 6.1453 Ni
-2.2179 2.7598 10.0660 Ni
0.5025 0.9199 5.2401 Ni
-1.4775 0.9199 11.7380 Ni
3.4794 2.7598 0.7709 Ni
2.2603 2.7598 4.5629 Ni
2.5752 0.9199 6.4380 Ni
0.8841 0.9199 11.8642 Ni
2.6814 2.7598 8.1402 Ni
1.9601 2.7598 10.5187 Ni
4.8677 0.9199 1.9933 Ni
4.1464 0.9199 4.3718 Ni
5.9437 2.7598 0.6478 Ni
4.2526 2.7598 6.0740 Ni
4.5675 0.9199 7.9491 Ni
3.3484 0.9199 11.7411 Ni
8.3053 2.7598 0.7740 Ni
6.3253 2.7598 7.2719 Ni
9.0457 0.9199 2.4460 Ni
7.9300 0.9199 6.3668 Ni
9.9788 0.9199 0.1209 Ni
7.3543 0.9199 8.8053 Ni
-3.4867 0.9199 10.9890 P
-2.4589 2.7598 7.8728 P
1.1611 2.7598 6.4630 P
-0.2165 2.7598 11.1123 P
3.9265 2.7598 3.0042 P
2.9013 0.9199 9.5079 P
7.0443 0.9199 1.3998 P
5.6667 0.9199 6.0490 P
9.2867 0.9199 4.6392 P
10.3146 2.7598 1.5230 P
```

Entry 5:
This entry pairs a crystal structure of PrNiP with its simulated X-ray powder pattern. Radiation: Cu Kα (λ = 1.5418 Å). Structure: a cell relaxed with PBE.
Kinematic intensities with the Lorentz-polarization factor, no thermal factor.

Largest 12 diffraction maxima, low angle first, 5 to 70 degrees two-theta:
Position (°2θ)	d [Å]	I_rel
21.9	4.057	3
25.8	3.455	25
26.4	3.380	2
30.7	2.912	1
34.1	2.631	100
44.7	2.028	12
45.5	1.995	34
51.0	1.790	2
52.3	1.749	7
53.0	1.728	4
58.0	1.590	21
65.6	1.422	22

Structure:
```
PrNiP
1.0
3.9899 0.0000 0.0000
-1.9949 3.4553 0.0000
0.0000 0.0000 16.2274
Pr Ni P
4 4 4
Cartesian
0.0000 0.0000 0.0000 Pr
0.0000 0.0000 4.0569 Pr
0.0000 0.0000 8.1137 Pr
0.0000 0.0000 12.1706 Pr
0.0000 2.3036 2.0497 Ni
0.0000 2.3036 6.0640 Ni
1.9949 1.1518 10.1634 Ni
1.9949 1.1518 14.1777 Ni
0.0000 2.3036 10.1418 P
0.0000 2.3036 14.1994 P
1.9949 1.1518 2.0281 P
1.9949 1.1518 6.0856 P
```